Starting from a structure optimized by DFT (GGA-PBE), the powder X-ray diffraction pattern of BaErMgSb2 was calculated for copper Kα.
No peak broadening, texture or thermal motion is included.

Most intense lines, 15° ≤ 2θ ≤ 90°, sorted by position:
- hkl 1 1 0, d = 4.644 Å, intensity 21
- hkl 0 0 2, d = 3.573 Å, intensity 17
- hkl 1 3 1, d = 3.360 Å, intensity 38
- hkl 0 2 2, d = 3.340 Å, intensity 23
- hkl 1 5 0, d = 2.959 Å, intensity 51
- hkl 0 6 1, d = 2.871 Å, intensity 22
- hkl 1 1 2, d = 2.832 Å, intensity 25
- hkl 1 3 2, d = 2.605 Å, intensity 100
- hkl 2 0 0, d = 2.396 Å, intensity 34
- hkl 0 8 2, d = 1.964 Å, intensity 16

```
data_BaErMgSb2
_chemical_formula_sum 'Ba4 Er4 Mg4 Sb8'
_space_group_name_H-M_alt 'C m c 21'
_space_group_IT_number 36
_space_group_name_Hall 'C 2c -2'
_cell_length_a 4.792
_cell_length_b 18.808
_cell_length_c 7.146
_cell_angle_alpha 90.00
_cell_angle_beta 90.00
_cell_angle_gamma 90.00
loop_
_atom_site_label
_atom_site_type_symbol
_atom_site_fract_x
_atom_site_fract_y
_atom_site_fract_z
Ba1 Ba 0.000 0.197 0.000
Er1 Er 0.000 0.017 0.709
Mg1 Mg 0.000 0.404 0.888
Sb1 Sb 0.000 0.162 0.501
Sb2 Sb 0.000 0.443 0.489
```

***

Starting from a structure optimized by DFT (GGA-PBE), the powder X-ray diffraction pattern of Cd2Cu2SeF6 was calculated for copper Kα.
No peak broadening, texture or thermal motion is included.

Most intense lines, 15° ≤ 2θ ≤ 90°, sorted by position:
- hkl 2 2 2, d = 3.104 Å, intensity 100
- hkl 4 0 0, d = 2.688 Å, intensity 15
- hkl 3 3 1, d = 2.467 Å, intensity 23
- hkl 4 4 0, d = 1.901 Å, intensity 65
- hkl 5 3 1, d = 1.817 Å, intensity 7
- hkl 6 2 2, d = 1.621 Å, intensity 41
- hkl 8 0 0, d = 1.344 Å, intensity 9
- hkl 6 6 2, d = 1.233 Å, intensity 16
- hkl 8 4 0, d = 1.202 Å, intensity 8
- hkl 8 4 4, d = 1.097 Å, intensity 16

abc: 10.752 10.752 10.752
angles: 90.00 90.00 90.00
Space group Fd-3m (No. 227, origin choice 2)
One atom of each set of equivalent atoms:
1 Cd 0.000 0.000 0.000 [16 per cell]
2 Cu 0.000 0.000 0.500 [16 per cell]
3 Se 0.125 0.125 0.125 [8 per cell]
4 F 0.070 0.375 0.875 [48 per cell]

***

Starting from a structure optimized by DFT (GGA-PBE), the powder X-ray diffraction pattern of Bi10PtS10 was calculated for copper Kα.
No peak broadening, texture or thermal motion is included.

Most intense lines, 15° ≤ 2θ ≤ 90°, sorted by position:
- hkl 2 2 1, d = 3.782 Å, intensity 41
- hkl 3 1 0, d = 3.664 Å, intensity 63
- hkl 1 2 2, d = 3.301 Å, intensity 92
- hkl 2 1 2, d = 3.226 Å, intensity 100
- hkl 1 4 1, d = 2.874 Å, intensity 41
- hkl 3 1 2, d = 2.732 Å, intensity 34
- hkl 2 3 2, d = 2.622 Å, intensity 63
- hkl 1 5 2, d = 2.126 Å, intensity 53
- hkl 0 0 4, d = 2.049 Å, intensity 41
- hkl 5 1 2, d = 1.978 Å, intensity 49

```
data_Bi10PtS10
_chemical_formula_sum 'Bi20 Pt2 S20'
_space_group_name_H-M_alt 'P b a m'
_space_group_IT_number 55
_space_group_name_Hall '-P 2 2ab'
_cell_length_a 11.477
_cell_length_b 12.738
_cell_length_c 8.197
_cell_angle_alpha 90.00
_cell_angle_beta 90.00
_cell_angle_gamma 90.00
loop_
_atom_site_label
_atom_site_type_symbol
_atom_site_fract_x
_atom_site_fract_y
_atom_site_fract_z
Bi1 Bi 0.000 0.000 0.247
Bi2 Bi 0.135 0.398 0.266
Bi3 Bi 0.166 0.673 0.500
Bi4 Bi 0.212 0.569 0.000
Pt1 Pt 0.000 0.500 0.500
S1 S 0.003 0.347 0.000
S2 S 0.114 0.905 0.000
S3 S 0.158 0.894 0.500
S4 S 0.172 0.171 0.266
```

***

Starting from a structure optimized by DFT (GGA-PBE), the powder X-ray diffraction pattern of CsTe4PbAu3 was calculated for copper Kα.
No peak broadening, texture or thermal motion is included.

Most intense lines, 15° ≤ 2θ ≤ 90°, sorted by position:
- hkl 1 1 1, d = 4.112 Å, intensity 62
- hkl 2 0 0, d = 3.561 Å, intensity 13
- hkl 2 2 0, d = 2.518 Å, intensity 100
- hkl 2 2 1, d = 2.374 Å, intensity 11
- hkl 3 1 1, d = 2.147 Å, intensity 31
- hkl 3 2 0, d = 1.975 Å, intensity 12
- hkl 4 0 0, d = 1.780 Å, intensity 17
- hkl 3 3 1, d = 1.634 Å, intensity 11
- hkl 4 2 2, d = 1.454 Å, intensity 32
- hkl 6 2 0, d = 1.126 Å, intensity 13

```
data_CsTe4PbAu3
_chemical_formula_sum 'Cs1 Te4 Pb1 Au3'
_space_group_name_H-M_alt 'P -4 3 m'
_space_group_IT_number 215
_space_group_name_Hall 'P -4 2 3'
_cell_length_a 7.122
_cell_length_b 7.122
_cell_length_c 7.122
_cell_angle_alpha 90.00
_cell_angle_beta 90.00
_cell_angle_gamma 90.00
loop_
_atom_site_label
_atom_site_type_symbol
_atom_site_fract_x
_atom_site_fract_y
_atom_site_fract_z
Cs1 Cs 0.000 0.000 0.000
Te1 Te 0.275 0.275 0.275
Pb1 Pb 0.500 0.500 0.500
Au1 Au 0.000 0.500 0.500
```

***

Starting from a structure optimized by DFT (GGA-PBE), the powder X-ray diffraction pattern of Tm5Ni2 was calculated for copper Kα.
No peak broadening, texture or thermal motion is included.

Most intense lines, 15° ≤ 2θ ≤ 90°, sorted by position:
- hkl 1 1 -2, d = 2.958 Å, intensity 37
- hkl 0 2 1, d = 2.840 Å, intensity 57
- hkl 5 1 0, d = 2.828 Å, intensity 100
- hkl 4 0 -2, d = 2.712 Å, intensity 55
- hkl 3 1 -2, d = 2.694 Å, intensity 35
- hkl 2 2 1, d = 2.636 Å, intensity 43
- hkl 5 1 1, d = 2.518 Å, intensity 23
- hkl 3 1 2, d = 2.479 Å, intensity 29
- hkl 4 0 2, d = 2.430 Å, intensity 26
- hkl 1 1 -4, d = 1.628 Å, intensity 30

```
data_Tm5Ni2
_chemical_formula_sum 'Tm20 Ni8'
_space_group_name_H-M_alt 'C 1 2/c 1'
_space_group_IT_number 15
_space_group_name_Hall '-C 2yc'
_cell_length_a 15.942
_cell_length_b 6.269
_cell_length_c 6.745
_cell_angle_alpha 90.00
_cell_angle_beta 96.34
_cell_angle_gamma 90.00
loop_
_atom_site_label
_atom_site_type_symbol
_atom_site_fract_x
_atom_site_fract_y
_atom_site_fract_z
Tm1 Tm 0.000 0.066 0.250
Tm2 Tm 0.096 0.390 0.921
Tm3 Tm 0.217 0.066 0.311
Ni1 Ni 0.110 0.206 0.567
```

***

Starting from a structure optimized by DFT (GGA-PBE), the powder X-ray diffraction pattern of YTm3B2Pb2 was calculated for copper Kα.
No peak broadening, texture or thermal motion is included.

Most intense lines, 15° ≤ 2θ ≤ 90°, sorted by position:
- hkl 1 0 0, d = 3.167 Å, intensity 19
- hkl 0 0 6, d = 2.747 Å, intensity 100
- hkl 0 1 6, d = 2.078 Å, intensity 13
- hkl 1 1 0, d = 1.829 Å, intensity 17
- hkl 1 0 9, d = 1.588 Å, intensity 15
- hkl 1 1 6, d = 1.523 Å, intensity 32
- hkl 0 2 9, d = 1.199 Å, intensity 6
- hkl 2 1 3, d = 1.170 Å, intensity 12
- hkl 1 1 12, d = 1.100 Å, intensity 6
- hkl 1 2 6, d = 1.098 Å, intensity 4

```
data_YTm3B2Pb2
_chemical_formula_sum 'Y1 Tm3 B2 Pb2'
_space_group_name_H-M_alt 'P 3 m 1'
_space_group_IT_number 156
_space_group_name_Hall 'P 3 -2"'
_cell_length_a 3.6571
_cell_length_b 3.6571
_cell_length_c 16.5217
_cell_angle_alpha 90.00
_cell_angle_beta 90.00
_cell_angle_gamma 120.00
loop_
_atom_site_label
_atom_site_type_symbol
_atom_site_fract_x
_atom_site_fract_y
_atom_site_fract_z
Y1 Y 0.0000 0.0000 0.0000
Tm1 Tm 0.0000 0.0000 0.3228
Tm2 Tm 0.3333 0.6667 0.4980
Tm3 Tm 0.3333 0.6667 0.8198
B1 B 0.6667 0.3333 0.4104
B2 B 0.6667 0.3333 0.9080
Pb1 Pb 0.0000 0.0000 0.6592
Pb2 Pb 0.3333 0.6667 0.1623
```

***

Starting from a structure optimized by DFT (GGA-PBE), the powder X-ray diffraction pattern of K2ZnC4N4 was calculated for copper Kα.
No peak broadening, texture or thermal motion is included.

Most intense lines, 15° ≤ 2θ ≤ 90°, sorted by position:
- hkl 2 2 0, d = 4.397 Å, intensity 59
- hkl 3 1 1, d = 3.750 Å, intensity 100
- hkl 4 0 0, d = 3.109 Å, intensity 15
- hkl 4 2 2, d = 2.539 Å, intensity 16
- hkl 5 1 1, d = 2.394 Å, intensity 37
- hkl 4 4 0, d = 2.199 Å, intensity 55
- hkl 5 3 3, d = 1.897 Å, intensity 12
- hkl 6 4 2, d = 1.662 Å, intensity 16
- hkl 5 5 3, d = 1.619 Å, intensity 22
- hkl 5 5 5, d = 1.436 Å, intensity 12

abc: 12.437 12.437 12.437
angles: 90.00 90.00 90.00
Space group Fd-3m (No. 227, origin choice 2)
One atom of each set of equivalent atoms:
1 K 0.000 0.000 0.000 [16 per cell]
2 Zn 0.125 0.125 0.625 [8 per cell]
3 C 0.033 0.033 0.717 [32 per cell]
4 N 0.022 0.022 0.228 [32 per cell]

***

Starting from a structure optimized by DFT (GGA-PBE), the powder X-ray diffraction pattern of Gd3Mg3CdCu2 was calculated for copper Kα.
No peak broadening, texture or thermal motion is included.

Most intense lines, 15° ≤ 2θ ≤ 90°, sorted by position:
- hkl 0 0 1, d = 4.281 Å, intensity 27
- hkl 1 1 0, d = 3.727 Å, intensity 21
- hkl 2 0 0, d = 3.227 Å, intensity 39
- hkl 1 1 1, d = 2.811 Å, intensity 57
- hkl 2 0 1, d = 2.577 Å, intensity 100
- hkl 2 1 0, d = 2.440 Å, intensity 20
- hkl 0 0 2, d = 2.141 Å, intensity 21
- hkl 2 1 1, d = 2.120 Å, intensity 17
- hkl 3 1 0, d = 1.790 Å, intensity 18
- hkl 3 1 1, d = 1.652 Å, intensity 24

```
data_Gd3Mg3CdCu2
_chemical_formula_sum 'Gd3 Mg3 Cd1 Cu2'
_space_group_name_H-M_alt 'P -6 2 m'
_space_group_IT_number 189
_space_group_name_Hall 'P -6 -2'
_cell_length_a 7.4531
_cell_length_b 7.4531
_cell_length_c 4.2811
_cell_angle_alpha 90.00
_cell_angle_beta 90.00
_cell_angle_gamma 120.00
loop_
_atom_site_label
_atom_site_type_symbol
_atom_site_fract_x
_atom_site_fract_y
_atom_site_fract_z
Gd1 Gd 0.0000 0.4250 0.0000
Mg1 Mg 0.0000 0.7471 0.5000
Cd1 Cd 0.0000 0.0000 0.0000
Cu1 Cu 0.3333 0.6667 0.5000
```

***

Starting from a structure optimized by DFT (GGA-PBE), the powder X-ray diffraction pattern of HfSi2Pt was calculated for copper Kα.
No peak broadening, texture or thermal motion is included.

Most intense lines, 15° ≤ 2θ ≤ 90°, sorted by position:
- hkl 0 1 1, d = 3.903 Å, intensity 30
- hkl 1 0 1, d = 3.240 Å, intensity 88
- hkl 1 1 1, d = 2.826 Å, intensity 82
- hkl 0 2 1, d = 2.536 Å, intensity 47
- hkl 0 1 2, d = 2.406 Å, intensity 75
- hkl 1 2 0, d = 2.361 Å, intensity 100
- hkl 1 1 2, d = 2.075 Å, intensity 65
- hkl 2 0 0, d = 2.049 Å, intensity 42
- hkl 2 1 2, d = 1.560 Å, intensity 62
- hkl 1 3 2, d = 1.456 Å, intensity 34

```
data_HfSi2Pt
_chemical_formula_sum 'Hf2 Si4 Pt2'
_space_group_name_H-M_alt 'P m n 21'
_space_group_IT_number 31
_space_group_name_Hall 'P 2ac -2'
_cell_length_a 4.098
_cell_length_b 5.778
_cell_length_c 5.292
_cell_angle_alpha 90.00
_cell_angle_beta 90.00
_cell_angle_gamma 90.00
loop_
_atom_site_label
_atom_site_type_symbol
_atom_site_fract_x
_atom_site_fract_y
_atom_site_fract_z
Hf1 Hf 0.000 0.088 0.000
Si1 Si 0.000 0.233 0.496
Si2 Si 0.000 0.655 0.273
Pt1 Pt 0.000 0.606 0.769
```

***

Starting from a structure optimized by DFT (GGA-PBE), the powder X-ray diffraction pattern of Pa7Sb was calculated for copper Kα.
No peak broadening, texture or thermal motion is included.

Most intense lines, 15° ≤ 2θ ≤ 90°, sorted by position:
- hkl 1 1 1, d = 5.330 Å, intensity 2
- hkl 2 0 0, d = 4.616 Å, intensity 1
- hkl 2 2 0, d = 3.264 Å, intensity 1
- hkl 3 1 1, d = 2.784 Å, intensity 1
- hkl 2 2 2, d = 2.665 Å, intensity 100
- hkl 4 0 0, d = 2.308 Å, intensity 50
- hkl 4 4 0, d = 1.632 Å, intensity 35
- hkl 6 2 2, d = 1.392 Å, intensity 42
- hkl 4 4 4, d = 1.333 Å, intensity 12
- hkl 8 0 0, d = 1.154 Å, intensity 6

```
data_Pa7Sb
_chemical_formula_sum 'Pa28 Sb4'
_space_group_name_H-M_alt 'F m -3 m'
_space_group_IT_number 225
_space_group_name_Hall '-F 4 2 3'
_cell_length_a 9.232
_cell_length_b 9.232
_cell_length_c 9.232
_cell_angle_alpha 90.00
_cell_angle_beta 90.00
_cell_angle_gamma 90.00
loop_
_atom_site_label
_atom_site_type_symbol
_atom_site_fract_x
_atom_site_fract_y
_atom_site_fract_z
Pa1 Pa 0.000 0.000 0.000
Pa2 Pa 0.000 0.250 0.250
Sb1 Sb 0.000 0.000 0.500
```

***

Starting from a structure optimized by DFT (GGA-PBE), the powder X-ray diffraction pattern of GdSnF6 was calculated for copper Kα.
No peak broadening, texture or thermal motion is included.

Most intense lines, 15° ≤ 2θ ≤ 90°, sorted by position:
- hkl 1 0 0, d = 3.816 Å, intensity 51
- hkl 1 1 1, d = 3.776 Å, intensity 100
- hkl 0 1 1, d = 2.894 Å, intensity 29
- hkl 1 1 -1, d = 2.836 Å, intensity 29
- hkl 1 0 2, d = 2.814 Å, intensity 29
- hkl 0 2 0, d = 2.142 Å, intensity 13
- hkl 2 0 2, d = 2.092 Å, intensity 26
- hkl 2 2 2, d = 1.888 Å, intensity 14
- hkl 1 -1 3, d = 1.760 Å, intensity 19
- hkl 2 3 1, d = 1.626 Å, intensity 16

```
data_GdSnF6
_chemical_formula_sum 'Gd1 Sn1 F6'
_space_group_name_H-M_alt 'P -1'
_space_group_IT_number 2
_space_group_name_Hall '-P 1'
_cell_length_a 5.026
_cell_length_b 5.093
_cell_length_c 5.724
_cell_angle_alpha 89.79
_cell_angle_beta 64.50
_cell_angle_gamma 60.68
loop_
_atom_site_label
_atom_site_type_symbol
_atom_site_fract_x
_atom_site_fract_y
_atom_site_fract_z
Gd1 Gd 0.000 0.000 0.000
Sn1 Sn 0.000 0.500 0.500
F1 F 0.191 0.065 0.260
F2 F 0.192 0.260 0.751
F3 F 0.495 0.438 0.247
```